Computed X-ray diffraction stick pattern of KTb3F10 for Cu Kα, from a DFT-relaxed cell (GGA-PBE, the Materials Project).
Kinematic intensities with the Lorentz-polarization factor, no thermal factor.

Cell and atoms:
```
KTb3F10
1.0
0.0000 5.8665 5.8665
5.8665 0.0000 5.8665
5.8665 5.8665 0.0000
K Tb F
2 6 20
direct
0.2500 0.2500 0.2500
0.7500 0.7500 0.7500
0.2403 0.2403 0.7597
0.2403 0.7597 0.2403
0.2403 0.7597 0.7597
0.7597 0.2403 0.2403
0.7597 0.2403 0.7597
0.7597 0.7597 0.2403
0.1117 0.1117 0.1117
0.1117 0.1117 0.6648
0.1117 0.6648 0.1117
0.1697 0.5000 0.5000
0.1697 0.5000 0.8303
0.1697 0.8303 0.5000
0.3352 0.8883 0.8883
0.5000 0.1697 0.5000
0.5000 0.1697 0.8303
0.5000 0.5000 0.1697
0.5000 0.5000 0.8303
0.5000 0.8303 0.1697
0.5000 0.8303 0.5000
0.6648 0.1117 0.1117
0.8303 0.1697 0.5000
0.8303 0.5000 0.1697
0.8303 0.5000 0.5000
0.8883 0.3352 0.8883
0.8883 0.8883 0.3352
0.8883 0.8883 0.8883
```

Largest 10 diffraction maxima, by angle, 10 to 90 degrees two-theta:
15.10°, rel. 20.4
21.42°, rel. 21.3
26.31°, rel. 100.0
30.48°, rel. 41.0
43.64°, rel. 48.7
51.68°, rel. 56.1
54.16°, rel. 12.9
69.89°, rel. 19.3
71.99°, rel. 13.3
80.15°, rel. 16.6